# Pu2In2Au15
Calculated powder XRD pattern, Cu Kα (λ = 1.5418 Å). Input: DFT lattice parameters and positions (PBE).
Lines closer than 0.1° are merged.

Main lines, in order of rising 2θ (10 to 80 degrees two-theta):
- 2θ = 18.4°, I = 9, hkl 1 1 0
- 2θ = 32.1°, I = 15, hkl 3 0 0
- 2θ = 32.6°, I = 12, hkl 0 2 4
- 2θ = 37.2°, I = 100, hkl 0 0 6
- 2θ = 37.7°, I = 11, hkl 2 0 5
- 2θ = 41.8°, I = 44, hkl 2 2 3
- 2θ = 60.6°, I = 12, hkl 3 3 3
- 2θ = 66.9°, I = 10, hkl 0 3 9
- 2θ = 67.1°, I = 14, hkl 6 0 0
- 2θ = 79.2°, I = 11, hkl 0 6 6

Atomic structure:
```
data_Pu2In2Au15
_chemical_formula_sum 'Pu6 In6 Au45'
_symmetry_space_group_name_H-M 'R -3 m'
_symmetry_Int_Tables_number 166
_symmetry_space_group_name_Hall '-R 3 2"'
_cell_length_a 9.6669
_cell_length_b 9.6669
_cell_length_c 14.5375
_cell_angle_alpha 90.00
_cell_angle_beta 90.00
_cell_angle_gamma 120.00
loop_
_atom_site_label
_atom_site_fract_x
_atom_site_fract_y
_atom_site_fract_z
Pu1 0.0000 0.0000 0.1477
In1 0.0000 0.0000 0.3963
Au1 0.0000 0.3105 0.5000
Au2 0.0000 0.5000 0.0000
Au3 0.0116 0.5058 0.6495
```